The following is a computed powder diffractogram of RbCuTeI5. It was derived from the GGA-PBE geometry in Alexandria, using λ = 1.5418 Å (Cu Kα).
Lines closer than 0.1° are merged.

Structural model:
Cell lengths 8.2251, 8.2251, 12.0895 Å; angles 104.17, 104.17, 101.37 degrees
Fractional positions:
1 Rb 0.0825 0.9175 0.7500
2 Rb 0.9175 0.0825 0.2500
3 Cu 0.4513 0.5487 0.7500
4 Cu 0.5487 0.4513 0.2500
5 Te 0.0000 0.5000 0.0000
6 Te 0.5000 0.0000 0.5000
7 I 0.1996 0.8004 0.2500
8 I 0.2291 0.2968 0.1113
9 I 0.2931 0.6487 0.9123
10 I 0.2968 0.2291 0.6113
11 I 0.3513 0.7069 0.5877
12 I 0.6487 0.2931 0.4123
13 I 0.7032 0.7709 0.3887
14 I 0.7069 0.3513 0.0877
15 I 0.7709 0.7032 0.8887
16 I 0.8004 0.1996 0.7500

Top 10 peaks for 2θ from 15° to 90°, in order of falling intensity:
2θ (°)  I (rel.)
25.84  100
15.92  89
29.77  78
35.97  72
22.42  63
37.41  58
27.12  50
29.19  44
19.16  40
23.10  40

***

The following is a computed powder diffractogram of LaPr5Dy3. It was derived from the GGA-PBE geometry in Alexandria, using λ = 1.5418 Å (Cu Kα).
Lines closer than 0.1° are merged.

Structural model:
Cell lengths 9.7338, 9.7338, 9.9925 Å; angles 120.44, 120.44, 74.80 degrees
Fractional positions:
1 La 0.2492 0.2492 0.4189
2 La 0.7508 0.7508 0.5811
3 Pr 0.1113 0.6097 0.2628
4 Pr 0.2282 0.2282 0.0549
5 Pr 0.2543 0.7457 0.0000
6 Pr 0.2708 0.2708 0.7693
7 Pr 0.3903 0.8887 0.7372
8 Pr 0.6097 0.1113 0.2628
9 Pr 0.7292 0.7292 0.2307
10 Pr 0.7457 0.2543 0.0000
11 Pr 0.7718 0.7718 0.9451
12 Pr 0.8887 0.3903 0.7372
13 Dy 0.0000 0.0000 0.0000
14 Dy 0.0124 0.0124 0.3505
15 Dy 0.4951 0.4951 0.1773
16 Dy 0.5000 0.5000 0.5000
17 Dy 0.5049 0.5049 0.8227
18 Dy 0.9876 0.9876 0.6495

Top 10 peaks for 2θ from 15° to 90°, in order of falling intensity:
2θ (°)  I (rel.)
30.23  100
33.70  81
31.55  77
31.84  77
38.59  53
38.36  48
28.44  38
30.01  31
27.87  29
49.79  27

***

The following is a computed powder diffractogram of Er5Mg2. It was derived from the GGA-PBE geometry in Alexandria, using λ = 1.5418 Å (Cu Kα).
Lines closer than 0.1° are merged.

Structural model:
Cell lengths 16.8426, 16.8426, 16.8426 Å; angles 168.20, 168.20, 16.72 degrees
Fractional positions:
1 Er 0.0000 0.0000 0.0000
2 Er 0.1502 0.1502 0.0000
3 Er 0.4244 0.4244 0.0000
4 Er 0.5756 0.5756 0.0000
5 Er 0.8498 0.8498 0.0000
6 Mg 0.2796 0.2796 0.0000
7 Mg 0.7204 0.7204 0.0000

Top 10 peaks for 2θ from 15° to 90°, in order of falling intensity:
2θ (°)  I (rel.)
31.96  100
36.71  37
63.14  29
29.06  23
53.71  20
37.79  13
52.89  13
49.64  11
59.03  10
66.82  10

***

The following is a computed powder diffractogram of NdPd3Se4. It was derived from the GGA-PBE geometry in Alexandria, using λ = 1.5418 Å (Cu Kα).
Lines closer than 0.1° are merged.

Structural model:
Cell lengths 7.0920, 7.0920, 7.0920 Å; angles 90.00, 90.00, 90.00 degrees
Fractional positions:
1 Nd 0.0000 0.0000 0.0000
2 Nd 0.5000 0.5000 0.5000
3 Pd 0.0000 0.2500 0.5000
4 Pd 0.0000 0.7500 0.5000
5 Pd 0.2500 0.5000 0.0000
6 Pd 0.5000 0.0000 0.2500
7 Pd 0.5000 0.0000 0.7500
8 Pd 0.7500 0.5000 0.0000
9 Se 0.2500 0.2500 0.2500
10 Se 0.2500 0.2500 0.7500
11 Se 0.2500 0.7500 0.2500
12 Se 0.2500 0.7500 0.7500
13 Se 0.7500 0.2500 0.2500
14 Se 0.7500 0.2500 0.7500
15 Se 0.7500 0.7500 0.2500
16 Se 0.7500 0.7500 0.7500

Top 10 peaks for 2θ from 15° to 90°, in order of falling intensity:
2θ (°)  I (rel.)
30.88  100
28.14  94
35.81  66
48.00  58
51.55  57
44.24  48
75.89  36
46.15  24
64.35  24
59.75  22

***

The following is a computed powder diffractogram of KLi2IBr2. It was derived from the GGA-PBE geometry in Alexandria, using λ = 1.5418 Å (Cu Kα).
Lines closer than 0.1° are merged.

Structural model:
Cell lengths 6.9473, 6.3584, 10.0756 Å; angles 90.00, 109.51, 90.00 degrees
Fractional positions:
1 K 0.1222 0.2500 0.3800
2 K 0.8778 0.7500 0.6200
3 Li 0.3898 0.0054 0.8221
4 Li 0.3898 0.4946 0.8221
5 Li 0.6102 0.5054 0.1779
6 Li 0.6102 0.9946 0.1779
7 I 0.2820 0.7500 0.0168
8 I 0.7180 0.2500 0.9832
9 Br 0.1012 0.2500 0.7033
10 Br 0.4234 0.7500 0.6458
11 Br 0.5766 0.2500 0.3542
12 Br 0.8988 0.7500 0.2967

Top 10 peaks for 2θ from 15° to 90°, in order of falling intensity:
2θ (°)  I (rel.)
23.52  100
23.69  98
28.07  61
30.71  52
28.19  44
40.20  38
27.44  28
48.38  26
47.10  24
19.47  24

***

The following is a computed powder diffractogram of Pr2Zn7Ni. It was derived from the GGA-PBE geometry in Alexandria, using λ = 1.5418 Å (Cu Kα).
Lines closer than 0.1° are merged.

Structural model:
Cell lengths 4.3056, 4.3056, 10.2100 Å; angles 90.00, 90.00, 90.00 degrees
Fractional positions:
1 Pr 0.0000 0.5000 0.2390
2 Pr 0.5000 0.0000 0.7610
3 Zn 0.0000 0.0000 0.0000
4 Zn 0.0000 0.0000 0.5000
5 Zn 0.0000 0.5000 0.6350
6 Zn 0.0000 0.5000 0.8789
7 Zn 0.5000 0.0000 0.1211
8 Zn 0.5000 0.0000 0.3650
9 Zn 0.5000 0.5000 0.5000
10 Ni 0.5000 0.5000 0.0000

Top 10 peaks for 2θ from 15° to 90°, in order of falling intensity:
2θ (°)  I (rel.)
34.29  100
33.56  70
41.97  63
54.77  34
49.40  25
71.75  23
60.85  20
66.77  20
29.34  19
62.53  13

***

The following is a computed powder diffractogram of Pr5Zn2Pb5. It was derived from the GGA-PBE geometry in Alexandria, using λ = 1.5418 Å (Cu Kα).
Lines closer than 0.1° are merged.

Structural model:
Cell lengths 8.7046, 8.7046, 11.5161 Å; angles 127.43, 127.43, 31.37 degrees
Fractional positions:
1 Pr 0.0000 0.0000 0.0000
2 Pr 0.1056 0.1056 0.4146
3 Pr 0.1945 0.1945 0.8260
4 Pr 0.8055 0.8055 0.1740
5 Pr 0.8944 0.8944 0.5854
6 Zn 0.3634 0.3634 0.7698
7 Zn 0.6366 0.6366 0.2302
8 Pb 0.2548 0.2548 0.3226
9 Pb 0.4339 0.4339 0.1393
10 Pb 0.5000 0.5000 0.5000
11 Pb 0.5661 0.5661 0.8607
12 Pb 0.7452 0.7452 0.6774

Top 10 peaks for 2θ from 15° to 90°, in order of falling intensity:
2θ (°)  I (rel.)
34.89  100
30.08  90
38.24  50
30.62  47
32.44  37
35.06  32
49.76  25
31.37  24
62.56  21
52.84  21

***

The following is a computed powder diffractogram of AcTb4Tm2. It was derived from the GGA-PBE geometry in Alexandria, using λ = 1.5418 Å (Cu Kα).
Lines closer than 0.1° are merged.

Structural model:
Cell lengths 7.1462, 8.6752, 8.8876 Å; angles 114.21, 101.58, 101.89 degrees
Fractional positions:
1 Ac 0.0000 0.0000 0.0000
2 Ac 0.0814 0.7289 0.5763
3 Tb 0.1986 0.3269 0.4513
4 Tb 0.3117 0.8920 0.3178
5 Tb 0.4061 0.4486 0.1577
6 Tb 0.5008 0.0009 0.9915
7 Tb 0.6023 0.5559 0.8604
8 Tb 0.6957 0.3221 0.4460
9 Tb 0.7197 0.1542 0.7202
10 Tb 0.8954 0.4395 0.1420
11 Tm 0.1094 0.5531 0.8648
12 Tm 0.2243 0.1642 0.7258
13 Tm 0.5820 0.7309 0.5811
14 Tm 0.8011 0.8923 0.3207

Top 10 peaks for 2θ from 15° to 90°, in order of falling intensity:
2θ (°)  I (rel.)
31.13  100
30.94  49
32.28  45
32.68  43
29.68  38
61.08  30
57.49  19
47.45  18
56.85  17
61.77  14

***

The following is a computed powder diffractogram of AcTaPtO6. It was derived from the GGA-PBE geometry in Alexandria, using λ = 1.5418 Å (Cu Kα).
Lines closer than 0.1° are merged.

Structural model:
Cell lengths 5.0358, 5.0358, 9.9780 Å; angles 90.00, 90.00, 90.00 degrees
Fractional positions:
1 Ac 0.0000 0.0000 0.0000
2 Ac 0.5000 0.5000 0.5000
3 Ta 0.0000 0.0000 0.6636
4 Ta 0.5000 0.5000 0.1636
5 Pt 0.0000 0.0000 0.3239
6 Pt 0.5000 0.5000 0.8239
7 O 0.1642 0.1642 0.4925
8 O 0.2112 0.2112 0.7943
9 O 0.2196 0.2196 0.1835
10 O 0.2804 0.7196 0.6835
11 O 0.2888 0.7112 0.2943
12 O 0.3358 0.6642 0.9925
13 O 0.6642 0.3358 0.9925
14 O 0.7112 0.2888 0.2943
15 O 0.7196 0.2804 0.6835
16 O 0.7804 0.7804 0.1835
17 O 0.7888 0.7888 0.7943
18 O 0.8358 0.8358 0.4925

Top 10 peaks for 2θ from 15° to 90°, in order of falling intensity:
2θ (°)  I (rel.)
25.01  100
32.26  90
48.84  68
35.66  29
61.92  19
57.91  18
73.55  17
51.32  17
61.55  16
84.51  14

***

The following is a computed powder diffractogram of Tb4GePtS2. It was derived from the GGA-PBE geometry in Alexandria, using λ = 1.5418 Å (Cu Kα).
Lines closer than 0.1° are merged.

Structural model:
Cell lengths 6.9297, 4.0032, 7.1982 Å; angles 90.00, 109.08, 90.00 degrees
Fractional positions:
1 Tb 0.2456 0.0000 0.2489
2 Tb 0.2493 0.5000 0.7450
3 Tb 0.7507 0.5000 0.2550
4 Tb 0.7544 0.0000 0.7511
5 Ge 0.5000 0.0000 0.0000
6 Pt 0.0000 0.5000 0.0000
7 S 0.0000 0.0000 0.5000
8 S 0.5000 0.5000 0.5000

Top 10 peaks for 2θ from 15° to 90°, in order of falling intensity:
2θ (°)  I (rel.)
31.24  100
45.32  54
31.11  51
44.00  39
27.17  20
44.23  19
55.98  19
65.17  12
53.91  11
72.78  10

***

The following is a computed powder diffractogram of Nd3Al4Cu8. It was derived from the GGA-PBE geometry in Alexandria, using λ = 1.5418 Å (Cu Kα).
Lines closer than 0.1° are merged.

Structural model:
Cell lengths 9.0287, 9.0287, 9.0287 Å; angles 60.00, 60.00, 60.00 degrees
Fractional positions:
1 Nd 0.2350 0.2350 0.7650
2 Nd 0.2350 0.7650 0.2350
3 Nd 0.2350 0.7650 0.7650
4 Nd 0.7650 0.2350 0.2350
5 Nd 0.7650 0.2350 0.7650
6 Nd 0.7650 0.7650 0.2350
7 Al 0.0000 0.0000 0.0000
8 Al 0.0000 0.0000 0.5000
9 Al 0.0000 0.5000 0.0000
10 Al 0.0000 0.5000 0.5000
11 Al 0.5000 0.0000 0.0000
12 Al 0.5000 0.0000 0.5000
13 Al 0.5000 0.5000 0.0000
14 Al 0.5000 0.5000 0.5000
15 Cu 0.1076 0.6308 0.6308
16 Cu 0.1731 0.1731 0.1731
17 Cu 0.1731 0.1731 0.4806
18 Cu 0.1731 0.4806 0.1731
19 Cu 0.3692 0.3692 0.3692
20 Cu 0.3692 0.3692 0.8924
21 Cu 0.3692 0.8924 0.3692
22 Cu 0.4806 0.1731 0.1731
23 Cu 0.5194 0.8269 0.8269
24 Cu 0.6308 0.1076 0.6308
25 Cu 0.6308 0.6308 0.1076
26 Cu 0.6308 0.6308 0.6308
27 Cu 0.8269 0.5194 0.8269
28 Cu 0.8269 0.8269 0.5194
29 Cu 0.8269 0.8269 0.8269
30 Cu 0.8924 0.3692 0.3692

Top 10 peaks for 2θ from 15° to 90°, in order of falling intensity:
2θ (°)  I (rel.)
39.94  100
24.15  49
31.33  26
72.54  25
36.57  24
42.48  17
44.90  16
34.41  15
63.52  13
46.65  13

***

The following is a computed powder diffractogram of Ac2Sm3Y6Er. It was derived from the GGA-PBE geometry in Alexandria, using λ = 1.5418 Å (Cu Kα).
Lines closer than 0.1° are merged.

Structural model:
Cell lengths 6.3426, 6.3426, 11.9772 Å; angles 95.05, 95.05, 119.98 degrees
Fractional positions:
1 Ac 0.1665 0.8335 0.0000
2 Ac 0.8335 0.1665 0.0000
3 Sm 0.0000 0.0000 0.5000
4 Sm 0.3330 0.6670 0.5000
5 Sm 0.6670 0.3330 0.5000
6 Y 0.0850 0.4155 0.7453
7 Y 0.2540 0.2540 0.2550
8 Y 0.4155 0.0850 0.7453
9 Y 0.5845 0.9150 0.2547
10 Y 0.7460 0.7460 0.7450
11 Y 0.9150 0.5845 0.2547
12 Er 0.5000 0.5000 0.0000

Top 10 peaks for 2θ from 15° to 90°, in order of falling intensity:
2θ (°)  I (rel.)
29.93  100
34.81  67
30.32  32
59.42  28
49.80  24
50.31  23
15.03  16
59.19  14
59.88  14
62.19  12